Theoretical powder diffractogram of BePO4 for a wavelength of 1.5418 Å, from a structure optimized by DFT (GGA-PBE).

Crystal structure
Cell lengths 5.022, 5.022, 5.022 Å; angles 123.22, 123.22, 84.51 degrees
Fractional positions:
Be: 0.000 0.000 0.000
P: 0.250 0.750 0.500
O: 0.039 0.873 0.653
O: 0.127 0.780 0.166
O: 0.220 0.385 0.347
O: 0.615 0.961 0.834

Peak list (10 most intense, 10° ≤ 2θ ≤ 80°, sorted by position)
d/Å	Rel. int.
4.018	100
3.717	4
3.377	6
2.499	19
2.053	9
2.009	9
1.618	12
1.467	3
1.399	3
1.220	4

=====

Theoretical powder diffractogram of LaSnPt for a wavelength of 1.5418 Å, from a structure optimized by DFT (GGA-PBE).

Crystal structure
Cell lengths 7.627, 4.707, 8.174 Å; angles 90.00, 90.00, 90.00 degrees
Fractional positions:
La: 0.015 0.250 0.194
La: 0.485 0.750 0.694
La: 0.515 0.250 0.306
La: 0.985 0.750 0.806
Sn: 0.173 0.250 0.583
Sn: 0.327 0.750 0.083
Sn: 0.673 0.250 0.917
Sn: 0.827 0.750 0.417
Pt: 0.211 0.750 0.408
Pt: 0.289 0.250 0.908
Pt: 0.711 0.750 0.092
Pt: 0.789 0.250 0.592

Peak list (10 most intense, 10° ≤ 2θ ≤ 80°, sorted by position)
d/Å	Rel. int.
3.599	15
2.861	40
2.786	100
2.428	27
2.356	90
2.005	16
1.799	19
1.690	18
1.509	21
1.429	14

=====

Theoretical powder diffractogram of Ho4MgTi2O10 for a wavelength of 1.5418 Å, from a structure optimized by DFT (GGA-PBE).

Crystal structure
Cell lengths 5.490, 6.302, 7.989 Å; angles 109.08, 91.76, 115.77 degrees
Fractional positions:
Ho: 0.000 0.000 0.000
Ho: 0.014 0.002 0.481
Ho: 0.739 0.471 0.071
Ho: 0.760 0.493 0.553
Mg: 0.551 0.040 0.679
Ti: 0.323 0.671 0.835
Ti: 0.379 0.729 0.273
O: 0.151 0.867 0.734
O: 0.175 0.740 0.052
O: 0.331 0.388 0.142
O: 0.439 0.090 0.455
O: 0.592 0.748 0.519
O: 0.609 0.561 0.828
O: 0.668 0.076 0.929
O: 0.780 0.886 0.216
O: 0.984 0.596 0.341
O: 0.989 0.334 0.674

Peak list (10 most intense, 10° ≤ 2θ ≤ 80°, sorted by position)
d/Å	Rel. int.
4.887	55
4.841	62
3.696	65
2.968	44
2.937	42
2.801	43
2.759	100
2.743	61
2.686	50
1.838	43

=====

Theoretical powder diffractogram of La2MgTiZnO6 for a wavelength of 1.5418 Å, from a structure optimized by DFT (GGA-PBE).

Crystal structure
Cell lengths 6.512, 6.512, 6.512 Å; angles 54.66, 54.66, 54.66 degrees
Fractional positions:
La: 0.000 0.000 0.000
La: 0.397 0.397 0.397
Mg: 0.787 0.787 0.787
Ti: 0.201 0.201 0.201
Zn: 0.616 0.616 0.616
O: 0.057 0.550 0.186
O: 0.088 0.412 0.832
O: 0.186 0.057 0.550
O: 0.412 0.832 0.088
O: 0.550 0.186 0.057
O: 0.832 0.088 0.412

Peak list (10 most intense, 10° ≤ 2θ ≤ 80°, sorted by position)
d/Å	Rel. int.
5.521	29
4.942	15
4.390	23
2.989	100
2.791	86
2.629	38
2.040	47
1.726	28
1.685	41
1.318	16

=====

Theoretical powder diffractogram of Te2Pd3Pb2 for a wavelength of 1.5418 Å, from a structure optimized by DFT (GGA-PBE).

Crystal structure
Cell lengths 6.055, 8.785, 6.522 Å; angles 90.00, 90.00, 90.00 degrees
Fractional positions:
Te: 0.250 0.041 0.173
Te: 0.250 0.459 0.173
Te: 0.750 0.541 0.827
Te: 0.750 0.959 0.827
Pd: 0.000 0.000 0.500
Pd: 0.000 0.500 0.500
Pd: 0.250 0.750 0.284
Pd: 0.500 0.000 0.500
Pd: 0.500 0.500 0.500
Pd: 0.750 0.250 0.716
Pb: 0.250 0.250 0.695
Pb: 0.250 0.750 0.756
Pb: 0.750 0.250 0.244
Pb: 0.750 0.750 0.305

Peak list (10 most intense, 10° ≤ 2θ ≤ 80°, sorted by position)
d/Å	Rel. int.
6.522	22
3.122	100
3.028	30
2.618	42
2.493	32
2.329	31
2.219	57
2.196	30
1.948	24
1.561	32

=====

Theoretical powder diffractogram of GeB for a wavelength of 1.5418 Å, from a structure optimized by DFT (GGA-PBE).

Crystal structure
Cell lengths 3.354, 3.354, 5.876 Å; angles 90.00, 90.00, 120.00 degrees
Fractional positions:
Ge: 0.333 0.667 0.000
Ge: 0.667 0.333 0.500
B: 0.333 0.667 0.650
B: 0.667 0.333 0.150

Peak list (10 most intense, 10° ≤ 2θ ≤ 80°, sorted by position)
d/Å	Rel. int.
2.938	33
2.905	32
2.604	100
2.066	18
1.677	23
1.624	31
1.457	23
1.410	15
1.311	4
1.302	4

=====

Theoretical powder diffractogram of BaZn2Sn2 for a wavelength of 1.5418 Å, from a structure optimized by DFT (GGA-PBE).

Crystal structure
Cell lengths 4.816, 4.816, 11.419 Å; angles 90.00, 90.00, 90.00 degrees
Fractional positions:
Ba: 0.250 0.250 0.242
Ba: 0.750 0.750 0.758
Zn: 0.250 0.250 0.636
Zn: 0.250 0.750 0.000
Zn: 0.750 0.250 0.000
Zn: 0.750 0.750 0.364
Sn: 0.250 0.250 0.873
Sn: 0.250 0.750 0.500
Sn: 0.750 0.250 0.500
Sn: 0.750 0.750 0.127

Peak list (10 most intense, 10° ≤ 2θ ≤ 80°, sorted by position)
d/Å	Rel. int.
2.986	59
2.925	100
2.408	69
2.188	26
2.063	26
1.874	31
1.703	24
1.567	22
1.471	25
1.228	16

=====

Theoretical powder diffractogram of Li4ZrO4 for a wavelength of 1.5418 Å, from a structure optimized by DFT (GGA-PBE).

Crystal structure
Cell lengths 5.584, 5.584, 6.462 Å; angles 90.00, 90.00, 84.10 degrees
Fractional positions:
Li: 0.099 0.618 0.750
Li: 0.343 0.343 0.000
Li: 0.343 0.343 0.500
Li: 0.382 0.901 0.750
Li: 0.618 0.099 0.250
Li: 0.657 0.657 0.000
Li: 0.657 0.657 0.500
Li: 0.901 0.382 0.250
Zr: 0.154 0.846 0.250
Zr: 0.846 0.154 0.750
O: 0.191 0.227 0.750
O: 0.227 0.191 0.250
O: 0.298 0.702 0.511
O: 0.298 0.702 0.989
O: 0.702 0.298 0.011
O: 0.702 0.298 0.489
O: 0.773 0.809 0.750
O: 0.809 0.773 0.250

Peak list (10 most intense, 10° ≤ 2θ ≤ 80°, sorted by position)
d/Å	Rel. int.
5.554	42
4.212	100
4.146	43
3.235	72
2.793	43
2.777	30
2.551	40
2.406	31
1.920	25
1.606	25

=====

Theoretical powder diffractogram of Ba2Ca3Tl2Cu4O12 for a wavelength of 1.5418 Å, from a structure optimized by DFT (GGA-PBE).

Crystal structure
Cell lengths 3.823, 4.489, 21.758 Å; angles 89.35, 88.63, 87.81 degrees
Fractional positions:
Ba: 0.000 0.000 0.000
Ba: 0.323 0.816 0.373
Ca: 0.031 0.781 0.859
Ca: 0.105 0.870 0.683
Ca: 0.127 0.837 0.541
Tl: 0.492 0.448 0.119
Tl: 0.853 0.292 0.269
Cu: 0.187 0.868 0.199
Cu: 0.562 0.333 0.781
Cu: 0.616 0.363 0.620
Cu: 0.799 0.317 0.444
O: 0.003 0.145 0.146
O: 0.059 0.333 0.797
O: 0.113 0.367 0.635
O: 0.254 0.335 0.515
O: 0.302 0.325 0.443
O: 0.353 0.607 0.256
O: 0.422 0.730 0.770
O: 0.517 0.921 0.919
O: 0.622 0.858 0.614
O: 0.705 0.940 0.767
O: 0.809 0.831 0.450
O: 0.981 0.502 0.948

Peak list (10 most intense, 10° ≤ 2θ ≤ 80°, sorted by position)
d/Å	Rel. int.
3.443	25
3.160	35
3.107	38
2.964	50
2.927	27
2.904	24
2.835	100
2.805	42
2.599	27
1.740	30

=====

Theoretical powder diffractogram of ErCoB4 for a wavelength of 1.5418 Å, from a structure optimized by DFT (GGA-PBE).

Crystal structure
Cell lengths 5.886, 11.389, 3.368 Å; angles 90.00, 90.00, 90.00 degrees
Fractional positions:
Er: 0.127 0.150 0.000
Er: 0.373 0.650 0.000
Er: 0.627 0.350 0.000
Er: 0.873 0.850 0.000
Co: 0.135 0.410 0.000
Co: 0.365 0.910 0.000
Co: 0.635 0.090 0.000
Co: 0.865 0.590 0.000
B: 0.024 0.691 0.500
B: 0.112 0.546 0.500
B: 0.139 0.968 0.500
B: 0.218 0.815 0.500
B: 0.282 0.315 0.500
B: 0.361 0.468 0.500
B: 0.388 0.046 0.500
B: 0.476 0.191 0.500
B: 0.524 0.809 0.500
B: 0.612 0.954 0.500
B: 0.639 0.532 0.500
B: 0.718 0.685 0.500
B: 0.782 0.185 0.500
B: 0.861 0.032 0.500
B: 0.888 0.454 0.500
B: 0.976 0.309 0.500

Peak list (10 most intense, 10° ≤ 2θ ≤ 80°, sorted by position)
d/Å	Rel. int.
4.093	23
3.368	65
3.190	29
2.849	87
2.600	20
2.316	31
2.175	100
2.040	22
1.914	20
1.450	22

=====

Theoretical powder diffractogram of CuH11C4N2O10 for a wavelength of 1.5418 Å, from a structure optimized by DFT (GGA-PBE).

Crystal structure
Cell lengths 6.979, 8.996, 9.286 Å; angles 108.11, 98.63, 95.59 degrees
Fractional positions:
Cu: 0.000 0.000 0.000
Cu: 0.500 0.000 0.500
H: 0.006 0.944 0.316
H: 0.026 0.671 0.635
H: 0.118 0.359 0.861
H: 0.175 0.265 0.290
H: 0.177 0.359 0.044
H: 0.178 0.293 0.476
H: 0.194 0.451 0.418
H: 0.209 0.024 0.744
H: 0.284 0.509 0.992
H: 0.346 0.324 0.932
H: 0.365 0.602 0.678
H: 0.635 0.398 0.322
H: 0.654 0.676 0.068
H: 0.716 0.491 0.008
H: 0.791 0.976 0.256
H: 0.806 0.549 0.582
H: 0.822 0.707 0.524
H: 0.823 0.641 0.956
H: 0.825 0.735 0.710
H: 0.882 0.641 0.139
H: 0.974 0.329 0.365
H: 0.994 0.056 0.684
C: 0.235 0.732 0.351
C: 0.284 0.824 0.039
C: 0.371 0.999 0.135
C: 0.440 0.680 0.359
C: 0.560 0.320 0.641
C: 0.629 0.001 0.865
C: 0.716 0.176 0.961
C: 0.765 0.268 0.649
N: 0.129 0.334 0.387
N: 0.231 0.387 0.957
N: 0.769 0.613 0.043
N: 0.871 0.666 0.613
O: 0.072 0.017 0.758
O: 0.085 0.634 0.284
O: 0.105 0.802 0.970
O: 0.237 0.884 0.410
O: 0.258 0.102 0.119
O: 0.265 0.649 0.627
O: 0.384 0.716 0.041
O: 0.414 0.205 0.571
O: 0.458 0.541 0.296
O: 0.466 0.967 0.779
O: 0.534 0.033 0.221
O: 0.542 0.459 0.704
O: 0.586 0.795 0.429
O: 0.616 0.284 0.959
O: 0.735 0.351 0.373
O: 0.742 0.898 0.881
O: 0.763 0.116 0.590
O: 0.895 0.198 0.030
O: 0.915 0.366 0.716
O: 0.928 0.983 0.242

Peak list (10 most intense, 10° ≤ 2θ ≤ 80°, sorted by position)
d/Å	Rel. int.
8.450	100
5.936	72
5.085	29
4.940	37
4.508	22
4.332	17
2.958	77
2.864	23
2.817	26
2.474	18